1.
This entry pairs a crystal structure of PmDy4Hg4 with its simulated X-ray diffraction stick pattern. Radiation: λ = 1.5418 Å (Cu Kα). Structure: DFT lattice parameters and positions (PBE).
Neutral-atom scattering factors, no anomalous dispersion.

```
data_PmDy4Hg4
_chemical_formula_sum 'Pm2 Dy8 Hg8'
_symmetry_space_group_name_H-M 'P 42/n'
_symmetry_Int_Tables_number 86
_cell_length_a 9.5765
_cell_length_b 9.5765
_cell_length_c 5.5258
_cell_angle_alpha 90.00
_cell_angle_beta 90.00
_cell_angle_gamma 90.00
loop_
_symmetry_equiv_pos_as_xyz
'x,y,z'
'-x,-y,-z'
'-y,x+1/2,z+1/2'
'y,-x+1/2,-z+1/2'
'-x+1/2,-y+1/2,z'
'x+1/2,y+1/2,-z'
'y+1/2,-x,z+1/2'
'-y+1/2,x,-z+1/2'
loop_
_atom_site_label
_atom_site_fract_x
_atom_site_fract_y
_atom_site_fract_z
Pm1 0.2500 0.2500 0.2500
Dy1 0.0998 0.8392 0.6585
Hg1 0.0427 0.1451 0.8424
```

Most intense lines, 15° ≤ 2θ ≤ 90°, in order of rising 2θ:
2θ (°)  d/Å  I (rel.)
29.5  3.028  87
31.0  2.887  36
32.4  2.764  84
33.8  2.655  54
37.6  2.394  100
38.8  2.322  53
58.7  1.574  43
61.2  1.514  32

2.
This entry pairs a crystal structure of PmDy3Hg6 with its simulated X-ray diffraction stick pattern. Radiation: λ = 1.5418 Å (Cu Kα). Structure: DFT lattice parameters and positions (PBE).
Neutral-atom scattering factors, no anomalous dispersion.

```
data_PmDy3Hg6
_chemical_formula_sum 'Pm2 Dy6 Hg12'
_symmetry_space_group_name_H-M 'P 1 21/m 1'
_symmetry_Int_Tables_number 11
_cell_length_a 9.2042
_cell_length_b 5.1865
_cell_length_c 11.2036
_cell_angle_alpha 90.00
_cell_angle_beta 107.03
_cell_angle_gamma 90.00
loop_
_symmetry_equiv_pos_as_xyz
'x,y,z'
'-x,-y,-z'
'-x,y+1/2,-z'
'x,-y+1/2,z'
loop_
_atom_site_label
_atom_site_fract_x
_atom_site_fract_y
_atom_site_fract_z
Pm1 0.0657 0.2500 0.3860
Dy1 0.2294 0.2500 0.0051
Dy2 0.3528 0.7500 0.8029
Dy3 0.4876 0.2500 0.6133
Hg1 0.0634 0.7500 0.9052
Hg2 0.1400 0.7500 0.2045
Hg3 0.1707 0.2500 0.6901
Hg4 0.2510 0.7500 0.5177
Hg5 0.3557 0.2500 0.2928
Hg6 0.4642 0.7500 0.0924
```

Most intense lines, 15° ≤ 2θ ≤ 90°, in order of rising 2θ:
2θ (°)  d/Å  I (rel.)
33.7  2.660  49
34.0  2.640  97
34.4  2.607  100
34.6  2.593  52
49.1  1.857  35
61.5  1.508  25
61.6  1.506  18
61.9  1.500  19

3.
This entry pairs a crystal structure of Pm3DyHg with its simulated X-ray diffraction stick pattern. Radiation: λ = 1.5418 Å (Cu Kα). Structure: DFT lattice parameters and positions (PBE).
Neutral-atom scattering factors, no anomalous dispersion.

```
data_Pm3DyHg
_chemical_formula_sum 'Pm12 Dy4 Hg4'
_symmetry_space_group_name_H-M 'C 1 2/m 1'
_symmetry_Int_Tables_number 12
_cell_length_a 30.0079
_cell_length_b 3.7356
_cell_length_c 5.5979
_cell_angle_alpha 90.00
_cell_angle_beta 90.07
_cell_angle_gamma 90.00
loop_
_symmetry_equiv_pos_as_xyz
'x,y,z'
'-x,-y,-z'
'-x,y,-z'
'x,-y,z'
'x+1/2,y+1/2,z'
'-x+1/2,-y+1/2,-z'
'-x+1/2,y+1/2,-z'
'x+1/2,-y+1/2,z'
loop_
_atom_site_label
_atom_site_fract_x
_atom_site_fract_y
_atom_site_fract_z
Pm1 0.0483 0.0000 0.2464
Pm2 0.1296 0.0000 0.7489
Pm3 0.1613 0.5000 0.2496
Dy1 0.2335 0.5000 0.7498
Hg1 0.0410 0.5000 0.7448
```

Most intense lines, 15° ≤ 2θ ≤ 90°, in order of rising 2θ:
2θ (°)  d/Å  I (rel.)
28.1  3.171  10
29.8  3.001  18
32.0  2.799  31
32.4  2.759  100
33.9  2.645  18
48.8  1.868  11
57.3  1.608  22
59.5  1.554  11

4.
This entry pairs a crystal structure of Pm2DyHg4 with its simulated X-ray diffraction stick pattern. Radiation: λ = 1.5418 Å (Cu Kα). Structure: DFT lattice parameters and positions (PBE).
Neutral-atom scattering factors, no anomalous dispersion.

```
data_Pm2DyHg4
_chemical_formula_sum 'Pm6 Dy3 Hg12'
_symmetry_space_group_name_H-M 'R -3 m'
_symmetry_Int_Tables_number 166
_symmetry_space_group_name_Hall '-R 3 2"'
_cell_length_a 5.1513
_cell_length_b 5.1513
_cell_length_c 26.7112
_cell_angle_alpha 90.00
_cell_angle_beta 90.00
_cell_angle_gamma 120.00
loop_
_atom_site_label
_atom_site_fract_x
_atom_site_fract_y
_atom_site_fract_z
Pm1 0.0000 0.0000 0.2440
Dy1 0.0000 0.0000 0.0000
Hg1 0.0000 0.0000 0.1264
Hg2 0.0000 0.0000 0.3714
```

Most intense lines, 15° ≤ 2θ ≤ 90°, in order of rising 2θ:
2θ (°)  d/Å  I (rel.)
24.0  3.710  18
33.5  2.673  100
34.8  2.576  93
49.1  1.855  35
59.1  1.564  18
61.6  1.505  35
62.5  1.487  18
83.3  1.160  16

5.
This entry pairs a crystal structure of Pm3Dy3Hg2 with its simulated X-ray diffraction stick pattern. Radiation: λ = 1.5418 Å (Cu Kα). Structure: DFT lattice parameters and positions (PBE).
Neutral-atom scattering factors, no anomalous dispersion.

```
data_Pm3Dy3Hg2
_chemical_formula_sum 'Pm12 Dy12 Hg8'
_symmetry_space_group_name_H-M 'C m c m'
_symmetry_Int_Tables_number 63
_symmetry_space_group_name_Hall '-C 2c 2'
_cell_length_a 5.2187
_cell_length_b 11.8225
_cell_length_c 15.8988
_cell_angle_alpha 90.00
_cell_angle_beta 90.00
_cell_angle_gamma 90.00
loop_
_atom_site_label
_atom_site_fract_x
_atom_site_fract_y
_atom_site_fract_z
Pm1 0.0000 0.0394 0.1083
Pm2 0.0000 0.2837 0.2500
Dy1 0.0000 0.3583 0.0339
Dy2 0.0000 0.4304 0.7500
Hg1 0.0000 0.2305 0.6264
```

Most intense lines, 15° ≤ 2θ ≤ 90°, in order of rising 2θ:
2θ (°)  d/Å  I (rel.)
29.2  3.055  84
30.8  2.906  33
33.1  2.705  100
33.9  2.647  53
34.4  2.609  63
37.9  2.372  21
40.3  2.236  21
58.4  1.580  24

6.
This entry pairs a crystal structure of Pm2DyHg with its simulated X-ray diffraction stick pattern. Radiation: λ = 1.5418 Å (Cu Kα). Structure: DFT lattice parameters and positions (PBE).
Neutral-atom scattering factors, no anomalous dispersion.

```
data_Pm2DyHg
_chemical_formula_sum 'Pm8 Dy4 Hg4'
_symmetry_space_group_name_H-M 'C m c m'
_symmetry_Int_Tables_number 63
_symmetry_space_group_name_Hall '-C 2c 2'
_cell_length_a 3.7144
_cell_length_b 12.5245
_cell_length_c 10.4248
_cell_angle_alpha 90.00
_cell_angle_beta 90.00
_cell_angle_gamma 90.00
loop_
_atom_site_label
_atom_site_fract_x
_atom_site_fract_y
_atom_site_fract_z
Pm1 0.0000 0.1305 0.0403
Dy1 0.0000 0.4524 0.2500
Hg1 0.0000 0.2553 0.7500
```

Most intense lines, 15° ≤ 2θ ≤ 90°, in order of rising 2θ:
2θ (°)  d/Å  I (rel.)
29.4  3.038  20
30.4  2.940  53
32.3  2.775  19
33.4  2.683  100
34.4  2.606  23
36.1  2.487  27
55.1  1.667  23
60.6  1.527  18

7.
This entry pairs a crystal structure of PmPrDy2Hg4 with its simulated X-ray diffraction stick pattern. Radiation: λ = 1.5418 Å (Cu Kα). Structure: DFT lattice parameters and positions (PBE).
Neutral-atom scattering factors, no anomalous dispersion.

```
data_PmPrDy2Hg4
_chemical_formula_sum 'Pm3 Pr3 Dy6 Hg12'
_symmetry_space_group_name_H-M 'R -3 m'
_symmetry_Int_Tables_number 166
_symmetry_space_group_name_Hall '-R 3 2"'
_cell_length_a 5.3527
_cell_length_b 5.3527
_cell_length_c 26.2071
_cell_angle_alpha 90.00
_cell_angle_beta 90.00
_cell_angle_gamma 120.00
loop_
_atom_site_label
_atom_site_fract_x
_atom_site_fract_y
_atom_site_fract_z
Pm1 0.0000 0.0000 0.0000
Pr1 0.0000 0.0000 0.5000
Dy1 0.0000 0.0000 0.2502
Hg1 0.0000 0.0000 0.1239
Hg2 0.0000 0.0000 0.3740
```

Most intense lines, 15° ≤ 2θ ≤ 90°, in order of rising 2θ:
2θ (°)  d/Å  I (rel.)
23.5  3.784  2
33.5  2.676  100
48.1  1.892  18
54.2  1.692  1
59.9  1.545  38
70.4  1.338  12
80.2  1.197  17
89.8  1.092  4

8.
This entry pairs a crystal structure of Pr2DyHg6 with its simulated X-ray diffraction stick pattern. Radiation: λ = 1.5418 Å (Cu Kα). Structure: DFT lattice parameters and positions (PBE).
Neutral-atom scattering factors, no anomalous dispersion.

```
data_Pr2DyHg6
_chemical_formula_sum 'Pr2 Dy1 Hg6'
_symmetry_space_group_name_H-M 'P 6/m m m'
_symmetry_Int_Tables_number 191
_symmetry_space_group_name_Hall '-P 6 2'
_cell_length_a 8.7327
_cell_length_b 8.7327
_cell_length_c 3.4884
_cell_angle_alpha 90.00
_cell_angle_beta 90.00
_cell_angle_gamma 120.00
loop_
_atom_site_label
_atom_site_fract_x
_atom_site_fract_y
_atom_site_fract_z
Pr1 0.3333 0.6667 0.0000
Dy1 0.0000 0.0000 0.0000
Hg1 0.0000 0.3303 0.5000
```

Most intense lines, 15° ≤ 2θ ≤ 90°, in order of rising 2θ:
2θ (°)  d/Å  I (rel.)
32.9  2.725  100
35.6  2.521  100
44.3  2.043  24
49.2  1.851  32
62.2  1.492  32
64.0  1.455  19
65.0  1.434  35
87.2  1.117  17